# 1
Structure and theoretical X-ray diffraction stick pattern of TiAl2FeP (a crystal structure in Alexandria, relaxed with GGA-PBE; Cu Kα, 1.54184 Å).

Principal peaks in the range 2θ from 10° to 80°, in order of falling intensity:
- d = 2.610 Å, intensity 100
- d = 2.266 Å, intensity 70
- d = 1.596 Å, intensity 44
- d = 3.205 Å, intensity 37
- d = 2.249 Å, intensity 34
- d = 1.366 Å, intensity 23
- d = 1.603 Å, intensity 22
- d = 1.305 Å, intensity 22
- d = 3.193 Å, intensity 19
- d = 1.841 Å, intensity 13

Atomic structure:
```
5
Lattice="4.5329 0.0000 0.0000 0.0000 4.5329 0.0000 0.0000 0.0000 4.4979" Properties=species:S:1:pos:R:3 pbc="T T T"
Ti 0.0000 0.0000 0.0000
Al 0.0000 2.2664 2.2489
Al 2.2664 0.0000 2.2489
Fe 2.2664 2.2664 0.0000
P 0.0000 0.0000 2.2489
```

***

# 2
Structure and theoretical X-ray diffraction stick pattern of PaAl10Fe2 (a crystal structure in Alexandria, relaxed with GGA-PBE; Cu Kα, 1.54184 Å).

Principal peaks in the range 2θ from 10° to 80°, in order of falling intensity:
- d = 2.212 Å, intensity 100
- d = 2.227 Å, intensity 98
- d = 5.355 Å, intensity 87
- d = 6.677 Å, intensity 81
- d = 3.129 Å, intensity 74
- d = 4.425 Å, intensity 66
- d = 3.149 Å, intensity 57
- d = 2.206 Å, intensity 54
- d = 3.722 Å, intensity 53
- d = 2.395 Å, intensity 52

Atomic structure:
```
26
Lattice="4.4238 -5.0886 0.0000 4.4238 5.0886 0.0000 0.0000 0.0000 8.9664" Properties=species:S:1:pos:R:3 pbc="T T T"
Pa 4.4238 3.8300 6.7248
Pa 4.4238 -3.8300 2.2416
Al 2.4060 1.3962 6.7248
Al 4.4238 3.4908 0.8875
Al 4.4238 3.4908 3.5958
Al 3.0972 1.3152 2.2416
Al 1.9804 0.0000 0.0000
Al 1.9804 0.0000 4.4832
Al 4.4238 1.2762 4.9237
Al 4.4238 1.2762 8.5259
Al 2.4060 -1.3962 2.2416
Al 3.0972 -1.3152 6.7248
Al 5.7503 1.3152 2.2416
Al 6.4415 1.3962 6.7248
Al 4.4238 -1.2762 0.4405
Al 4.4238 -1.2762 4.0427
Al 6.8671 0.0000 0.0000
Al 6.8671 0.0000 4.4832
Al 5.7503 -1.3152 6.7248
Al 4.4238 -3.4908 5.3707
Al 4.4238 -3.4908 8.0790
Al 6.4415 -1.3962 2.2416
Fe 2.2119 2.5443 0.0000
Fe 2.2119 2.5443 4.4832
Fe 2.2119 -2.5443 0.0000
Fe 2.2119 -2.5443 4.4832
```

***

# 3
Structure and theoretical X-ray diffraction stick pattern of AlFePd5 (a crystal structure in Alexandria, relaxed with GGA-PBE; Cu Kα, 1.54184 Å).

Principal peaks in the range 2θ from 10° to 80°, in order of falling intensity:
- d = 2.037 Å, intensity 100
- d = 3.500 Å, intensity 95
- d = 2.114 Å, intensity 85
- d = 2.305 Å, intensity 81
- d = 2.332 Å, intensity 73
- d = 1.966 Å, intensity 72
- d = 2.634 Å, intensity 49
- d = 2.589 Å, intensity 41
- d = 1.756 Å, intensity 34
- d = 1.255 Å, intensity 31

Atomic structure:
```
14
Lattice="4.7135 -4.3466 0.0000 4.7135 4.3466 0.0000 -3.4519 0.0000 5.9015" Properties=species:S:1:pos:R:3 pbc="T T T"
Al 2.1246 4.1806 4.4261
Al 3.8505 -4.1806 1.4754
Fe 4.7135 0.0000 0.0000
Fe 2.9875 0.0000 2.9507
Pd 3.6094 2.4154 0.1663
Pd -0.3108 0.7440 3.8416
Pd 1.4152 -0.7440 0.8908
Pd 2.1246 1.7925 4.4261
Pd 4.0916 2.4154 2.7844
Pd 1.8834 -2.4154 3.1171
Pd 3.8505 -1.7925 1.4754
Pd 4.5599 0.7440 5.0107
Pd 6.2858 -0.7440 2.0599
Pd 2.3657 -2.4154 5.7352
```

***

# 4
Structure and theoretical X-ray diffraction stick pattern of PmAl4Fe (a crystal structure in Alexandria, relaxed with GGA-PBE; Cu Kα, 1.54184 Å).

Principal peaks in the range 2θ from 10° to 80°, in order of falling intensity:
- d = 2.478 Å, intensity 100
- d = 2.578 Å, intensity 54
- d = 3.133 Å, intensity 53
- d = 2.781 Å, intensity 52
- d = 3.827 Å, intensity 51
- d = 4.049 Å, intensity 45
- d = 2.024 Å, intensity 29
- d = 2.048 Å, intensity 27
- d = 1.828 Å, intensity 24
- d = 1.730 Å, intensity 21

Atomic structure:
```
12
Lattice="7.6543 0.0000 0.0000 0.0000 4.0487 0.0000 0.0000 0.0000 6.8681" Properties=species:S:1:pos:R:3 pbc="T T T"
Pm 1.9136 0.0000 0.8278
Pm 5.7407 0.0000 6.0402
Al 0.0000 0.0000 3.4340
Al 0.5454 2.0244 5.5155
Al 1.9136 2.0244 3.1783
Al 3.2818 2.0244 5.5155
Al 3.8271 0.0000 3.4340
Al 4.3725 2.0244 1.3525
Al 5.7407 2.0244 3.6898
Al 7.1089 2.0244 1.3525
Fe 1.9136 0.0000 4.7341
Fe 5.7407 0.0000 2.1340
```

***

# 5
Structure and theoretical X-ray diffraction stick pattern of PmAlFe (a crystal structure in Alexandria, relaxed with GGA-PBE; Cu Kα, 1.54184 Å).

Principal peaks in the range 2θ from 10° to 80°, in order of falling intensity:
- d = 4.283 Å, intensity 100
- d = 2.375 Å, intensity 87
- d = 2.517 Å, intensity 73
- d = 2.199 Å, intensity 62
- d = 2.714 Å, intensity 41
- d = 2.310 Å, intensity 39
- d = 2.224 Å, intensity 38
- d = 1.995 Å, intensity 34
- d = 4.752 Å, intensity 26
- d = 1.462 Å, intensity 25

Atomic structure:
```
12
Lattice="0.0000 4.9618 9.5041 2.4517 0.0000 9.5041 2.4517 4.9618 0.0000" Properties=species:S:1:pos:R:3 pbc="T T T"
Pm 1.8387 0.2480 7.1281
Pm 3.0646 2.7289 11.8802
Pm 1.8387 7.1947 7.1281
Pm 3.0646 9.6756 11.8802
Al 1.8387 3.7213 5.3962
Al 1.8387 3.7213 8.8600
Al 3.0646 6.2022 10.1482
Al 3.0646 6.2022 13.6121
Fe 1.8387 3.7213 0.0314
Fe 3.0646 6.2022 4.7835
Fe 1.8387 3.7213 14.2248
Fe 3.0646 6.2022 18.9769
```

***

# 6
Structure and theoretical X-ray diffraction stick pattern of Pm4Al16Fe3 (a crystal structure in Alexandria, relaxed with GGA-PBE; Cu Kα, 1.54184 Å).

Principal peaks in the range 2θ from 10° to 80°, in order of falling intensity:
- d = 2.377 Å, intensity 100
- d = 4.309 Å, intensity 87
- d = 2.850 Å, intensity 84
- d = 2.154 Å, intensity 68
- d = 2.687 Å, intensity 44
- d = 3.047 Å, intensity 39
- d = 1.719 Å, intensity 36
- d = 3.437 Å, intensity 30
- d = 1.566 Å, intensity 29
- d = 1.523 Å, intensity 28

Atomic structure:
```
23
Lattice="6.0937 0.0000 0.0000 0.0000 6.0937 0.0000 0.0000 0.0000 11.4001" Properties=species:S:1:pos:R:3 pbc="T T T"
Pm 0.0000 3.0469 2.1968
Pm 0.0000 3.0469 9.2033
Pm 3.0469 0.0000 2.1968
Pm 3.0469 0.0000 9.2033
Al 0.0000 0.0000 2.2295
Al 0.0000 0.0000 9.1706
Al 1.3661 1.3661 0.0000
Al 1.3661 4.7276 0.0000
Al 1.5379 1.5379 4.4175
Al 1.5379 1.5379 6.9826
Al 1.5379 4.5558 4.4175
Al 1.5379 4.5558 6.9826
Al 3.0469 3.0469 2.4213
Al 3.0469 3.0469 8.9788
Al 4.5558 1.5379 4.4175
Al 4.5558 1.5379 6.9826
Al 4.5558 4.5558 4.4175
Al 4.5558 4.5558 6.9826
Al 4.7276 1.3661 0.0000
Al 4.7276 4.7276 0.0000
Fe 0.0000 3.0469 5.7000
Fe 3.0469 0.0000 5.7000
Fe 3.0469 3.0469 0.0000
```

***

# 7
Structure and theoretical X-ray diffraction stick pattern of Pm2ScAl12Fe3 (a crystal structure in Alexandria, relaxed with GGA-PBE; Cu Kα, 1.54184 Å).

Principal peaks in the range 2θ from 10° to 80°, in order of falling intensity:
- d = 3.622 Å, intensity 100
- d = 2.477 Å, intensity 51
- d = 4.265 Å, intensity 47
- d = 2.672 Å, intensity 46
- d = 2.133 Å, intensity 45
- d = 3.428 Å, intensity 42
- d = 2.490 Å, intensity 39
- d = 3.294 Å, intensity 29
- d = 1.790 Å, intensity 28
- d = 6.134 Å, intensity 25

Atomic structure:
```
18
Lattice="4.2654 2.4626 6.1339 -4.2654 2.4626 6.1339 0.0000 -4.9253 6.1339" Properties=species:S:1:pos:R:3 pbc="T T T"
Pm 0.0000 0.0000 1.5075
Pm 0.0000 0.0000 16.8943
Sc 0.0000 0.0000 9.2009
Al -2.6445 -1.5268 8.3392
Al 0.0000 -1.7411 6.4039
Al -1.5079 0.8706 6.4039
Al 0.0000 -3.0536 10.0626
Al -2.6445 1.5268 10.0626
Al -1.5079 -0.8706 11.9979
Al 1.5079 0.8706 6.4039
Al 2.6445 -1.5268 8.3392
Al 0.0000 3.0536 8.3392
Al 1.5079 -0.8706 11.9978
Al 0.0000 1.7411 11.9978
Al 2.6445 1.5268 10.0626
Fe -2.1327 -1.2313 6.1339
Fe -2.1327 1.2313 12.2678
Fe 0.0000 2.4626 6.1339
```

***

# 8
Structure and theoretical X-ray diffraction stick pattern of PrAl10Fe2 (a crystal structure in Alexandria, relaxed with GGA-PBE; Cu Kα, 1.54184 Å).

Principal peaks in the range 2θ from 10° to 80°, in order of falling intensity:
- d = 2.248 Å, intensity 100
- d = 2.219 Å, intensity 88
- d = 2.598 Å, intensity 39
- d = 2.427 Å, intensity 35
- d = 3.159 Å, intensity 34
- d = 3.190 Å, intensity 33
- d = 2.264 Å, intensity 30
- d = 5.408 Å, intensity 29
- d = 6.743 Å, intensity 28
- d = 1.298 Å, intensity 26

Atomic structure:
```
26
Lattice="4.4961 -5.0953 0.0000 4.4961 5.0953 0.0000 0.0000 0.0000 9.0558" Properties=species:S:1:pos:R:3 pbc="T T T"
Pr 4.4961 3.8488 6.7918
Pr 4.4961 -3.8488 2.2639
Al 2.4426 1.4235 6.7918
Al 4.4961 3.4383 0.8884
Al 4.4961 3.4383 3.6395
Al 3.1519 1.3121 2.2639
Al 2.0591 0.0000 0.0000
Al 2.0591 0.0000 4.5279
Al 4.4961 1.2607 4.9882
Al 4.4961 1.2607 8.5955
Al 2.4426 -1.4235 2.2639
Al 3.1519 -1.3121 6.7918
Al 5.8403 1.3121 2.2639
Al 6.5496 1.4235 6.7918
Al 4.4961 -1.2607 0.4603
Al 4.4961 -1.2607 4.0676
Al 6.9330 0.0000 0.0000
Al 6.9330 0.0000 4.5279
Al 5.8403 -1.3121 6.7918
Al 4.4961 -3.4383 5.4163
Al 4.4961 -3.4383 8.1673
Al 6.5496 -1.4235 2.2639
Fe 2.2480 2.5477 0.0000
Fe 2.2480 2.5477 4.5279
Fe 2.2480 -2.5477 0.0000
Fe 2.2480 -2.5477 4.5279
```